No. 1
Diffraction record for Cs2BaNa2Cl7. The powder X-ray diffraction pattern is theoretical, not measured: it uses a DFT-relaxed cell (GGA-PBE, Alexandria) and Cu Ka.

Structural model:
```
data_Cs2BaNa2Cl7
_symmetry_space_group_name_H-M 'C 1 2/m 1'
_symmetry_Int_Tables_number 12
_symmetry_space_group_name_Hall '-C 2y'
_cell_length_a 7.481
_cell_length_b 7.358
_cell_length_c 14.400
_cell_angle_alpha 90.00
_cell_angle_beta 101.37
_cell_angle_gamma 90.00
loop_
_atom_site_label
_atom_site_type_symbol
_atom_site_fract_x
_atom_site_fract_y
_atom_site_fract_z
Cs1 Cs 0.191 0.000 0.367
Ba1 Ba 0.000 0.000 0.000
Na1 Na 0.116 0.500 0.202
Cl1 Cl 0.000 0.500 0.000
Cl2 Cl 0.159 0.256 0.851
Cl3 Cl 0.206 0.500 0.390
```

Principal peaks in the range 10 to 80 degrees two-theta, in order of rising 2θ:
(hkl)	two_theta	intensity
0 0 3	18.86	25.8
1 1 2	22.63	53.6
1 1 -3	23.67	47.3
2 0 -1	23.84	44.4
0 2 0	24.20	48.3
2 0 2	29.58	39.8
0 2 3	30.85	74.0
2 0 -4	31.53	35.5
2 2 -1	34.22	100.0
4 2 -5	59.98	26.8


No. 2
Diffraction record for Cs2BaNdCl6. The powder X-ray diffraction pattern is theoretical, not measured: it uses a DFT-relaxed cell (GGA-PBE, Alexandria) and Cu Ka.

Structural model:
```
data_Cs2BaNdCl6
_symmetry_space_group_name_H-M 'P m m n'
_symmetry_Int_Tables_number 59
_cell_length_a 7.818
_cell_length_b 11.652
_cell_length_c 8.730
_cell_angle_alpha 90.00
_cell_angle_beta 90.00
_cell_angle_gamma 90.00
loop_
_symmetry_equiv_pos_as_xyz
'x,y,z'
'-x,-y,-z'
'-x+1/2,-y+1/2,z'
'x+1/2,y+1/2,-z'
'x+1/2,-y,-z'
'-x+1/2,y,z'
'-x,y+1/2,-z'
'x,-y+1/2,z'
loop_
_atom_site_label
_atom_site_type_symbol
_atom_site_fract_x
_atom_site_fract_y
_atom_site_fract_z
Cs1 Cs 0.250 0.031 0.203
Ba1 Ba 0.250 0.250 0.722
Nd1 Nd 0.250 0.750 0.774
Cl1 Cl 0.002 0.250 0.452
Cl2 Cl 0.008 0.750 0.011
Cl3 Cl 0.250 0.509 0.782
```

Principal peaks in the range 10 to 80 degrees two-theta, in order of rising 2θ:
(hkl)	two_theta	intensity
0 0 2	20.35	26.4
1 2 1	21.58	100.0
2 0 0	22.75	25.6
2 0 2	30.70	80.4
0 2 3	34.44	12.6
1 2 3	36.37	16.5
2 4 0	38.55	13.3
3 2 1	39.25	21.9
2 4 2	43.97	32.0
4 0 0	46.48	13.1